# Tb2FeSi2
Simulated powder diffractogram, CuKα. Input: a structure optimized by DFT (PBE).
Lines closer than 0.1° are merged.

Cell and atoms:
Cell lengths 10.597, 4.149, 10.024 Å; angles 90.00, 119.57, 90.00 degrees
Space group C2/m (No. 12)
Symmetry-distinct sites (fractional):
1 Tb 0.001 0.000 0.172 (multiplicity 4)
2 Tb 0.189 0.000 0.608 (multiplicity 4)
3 Fe 0.228 0.500 0.877 (multiplicity 4)
4 Si 0.002 0.500 0.627 (multiplicity 4)
5 Si 0.157 0.500 0.064 (multiplicity 4)

Principal peaks in the range 2θ from 10° to 90°, in order of falling intensity:
hkl 4 0 -2, 2θ = 33.9°, 2.646 Å, rel. 100.0; hkl 1 1 2, 2θ = 34.4°, 2.608 Å, rel. 96.9; hkl 3 1 -1, 2θ = 33.6°, 2.669 Å, rel. 90.5; hkl 1 1 0, 2θ = 23.5°, 3.783 Å, rel. 90.2; hkl 1 1 -3, 2θ = 34.9°, 2.570 Å, rel. 85.4; hkl 2 0 -3, 2θ = 27.0°, 3.301 Å, rel. 68.5; hkl 0 2 0, 2θ = 43.6°, 2.074 Å, rel. 62.7; hkl 3 1 -3, 2θ = 37.3°, 2.412 Å, rel. 59.1


# Nd3RuO7
Simulated powder diffractogram, CuKα. Input: a structure optimized by DFT (PBE).
Lines closer than 0.1° are merged.

Cell and atoms:
Cell lengths 7.509, 7.610, 10.972 Å; angles 90.00, 90.14, 90.00 degrees
Space group P2_1/m (No. 11)
Symmetry-distinct sites (fractional):
1 Nd 0.000 0.000 0.000 (multiplicity 2)
2 Nd 0.191 0.250 0.276 (multiplicity 2)
3 Nd 0.199 0.250 0.718 (multiplicity 2)
4 Nd 0.304 0.750 0.218 (multiplicity 2)
5 Nd 0.307 0.750 0.775 (multiplicity 2)
6 Nd 0.500 0.000 0.500 (multiplicity 2)
7 Ru 0.000 0.000 0.500 (multiplicity 2)
8 Ru 0.500 0.000 0.000 (multiplicity 2)
9 O 0.017 0.750 0.132 (multiplicity 2)
10 O 0.033 0.750 0.869 (multiplicity 2)
11 O 0.084 0.250 0.496 (multiplicity 2)
12 O 0.179 0.540 0.371 (multiplicity 4)
13 O 0.191 0.539 0.622 (multiplicity 4)
14 O 0.299 0.037 0.116 (multiplicity 4)
15 O 0.335 0.043 0.864 (multiplicity 4)
16 O 0.418 0.750 0.994 (multiplicity 2)
17 O 0.468 0.250 0.367 (multiplicity 2)
18 O 0.481 0.250 0.631 (multiplicity 2)

Principal peaks in the range 2θ from 10° to 90°, in order of falling intensity:
hkl 0 2 2, 2θ = 28.6°, 3.126 Å, rel. 100.0; hkl 2 0 -2, 2θ = 28.8°, 3.098 Å, rel. 82.1; hkl 2 2 4, 2θ = 47.5°, 1.914 Å, rel. 42.6; hkl 2 2 0, 2θ = 33.5°, 2.672 Å, rel. 39.2; hkl 2 4 2, 2θ = 56.8°, 1.621 Å, rel. 28.4; hkl 0 0 4, 2θ = 32.6°, 2.743 Å, rel. 20.1; hkl 0 4 0, 2θ = 47.8°, 1.902 Å, rel. 18.0; hkl 2 1 2, 2θ = 31.2°, 2.870 Å, rel. 15.4


# Y5Ge10Ir4
Simulated powder diffractogram, CuKα. Input: a structure optimized by DFT (PBE).
Lines closer than 0.1° are merged.

Cell and atoms:
Cell lengths 13.039, 13.039, 4.359 Å; angles 90.00, 90.00, 90.00 degrees
Space group P4/mbm (No. 127)
Symmetry-distinct sites (fractional):
1 Y 0.000 0.000 0.000 (multiplicity 2)
2 Y 0.116 0.384 0.500 (multiplicity 4)
3 Y 0.174 0.674 0.500 (multiplicity 4)
4 Ge 0.009 0.843 0.500 (multiplicity 8)
5 Ge 0.067 0.567 0.000 (multiplicity 4)
6 Ge 0.163 0.200 0.000 (multiplicity 8)
7 Ir 0.021 0.754 0.000 (multiplicity 8)

Principal peaks in the range 2θ from 10° to 90°, in order of falling intensity:
hkl 4 0 1, 2θ = 34.4°, 2.611 Å, rel. 100.0; hkl 0 0 2, 2θ = 41.4°, 2.180 Å, rel. 65.7; hkl 3 3 1, 2θ = 35.7°, 2.512 Å, rel. 65.6; hkl 2 2 0, 2θ = 19.3°, 4.610 Å, rel. 61.0; hkl 5 1 0, 2θ = 35.1°, 2.559 Å, rel. 59.8; hkl 6 2 1, 2θ = 48.9°, 1.864 Å, rel. 47.1; hkl 0 0 1, 2θ = 20.4°, 4.359 Å, rel. 41.4; hkl 6 2 0, 2θ = 43.9°, 2.062 Å, rel. 35.4


# Ga3Pd7
Simulated powder diffractogram, CuKα. Input: a structure optimized by DFT (PBE).
Lines closer than 0.1° are merged.

Cell and atoms:
Cell lengths 13.772, 4.118, 5.539 Å; angles 90.00, 105.03, 90.00 degrees
Space group C2/m (No. 12)
Symmetry-distinct sites (fractional):
1 Ga 0.000 0.000 0.000 (multiplicity 2)
2 Ga 0.191 0.000 0.662 (multiplicity 4)
3 Pd 0.000 0.000 0.500 (multiplicity 2)
4 Pd 0.082 0.500 0.855 (multiplicity 4)
5 Pd 0.126 0.500 0.385 (multiplicity 4)
6 Pd 0.206 0.000 0.138 (multiplicity 4)

Principal peaks in the range 2θ from 10° to 90°, in order of falling intensity:
hkl 5 1 0, 2θ = 40.4°, 2.234 Å, rel. 100.0; hkl 1 1 -2, 2θ = 39.2°, 2.295 Å, rel. 82.4; hkl 0 2 0, 2θ = 44.0°, 2.059 Å, rel. 49.4; hkl 3 1 -2, 2θ = 40.9°, 2.204 Å, rel. 25.3; hkl 6 0 -2, 2θ = 45.9°, 1.977 Å, rel. 23.2; hkl 1 1 2, 2θ = 42.3°, 2.137 Å, rel. 19.4; hkl 4 0 2, 2θ = 48.9°, 1.862 Å, rel. 16.4; hkl 6 2 -2, 2θ = 65.4°, 1.426 Å, rel. 15.7


# BaRe2O12
Simulated powder diffractogram, CuKα. Input: a structure optimized by DFT (PBE).
Lines closer than 0.1° are merged.

Cell and atoms:
Cell lengths 7.438, 12.621, 13.893 Å; angles 90.00, 121.89, 90.00 degrees
Space group P2_1/c (No. 14)
Symmetry-distinct sites (fractional):
1 Ba 0.184 0.247 0.428 (multiplicity 4)
2 Re 0.159 0.611 0.912 (multiplicity 4)
3 Re 0.287 0.573 0.541 (multiplicity 4)
4 O 0.004 0.141 0.732 (multiplicity 4)
5 O 0.068 0.682 0.988 (multiplicity 4)
6 O 0.119 0.600 0.592 (multiplicity 4)
7 O 0.153 0.025 0.434 (multiplicity 4)
8 O 0.153 0.602 0.397 (multiplicity 4)
9 O 0.288 0.664 0.215 (multiplicity 4)
10 O 0.353 0.140 0.292 (multiplicity 4)
11 O 0.362 0.064 0.059 (multiplicity 4)
12 O 0.402 0.213 0.177 (multiplicity 4)
13 O 0.418 0.651 0.959 (multiplicity 4)
14 O 0.466 0.532 0.232 (multiplicity 4)
15 O 0.488 0.154 0.889 (multiplicity 4)

Principal peaks in the range 2θ from 10° to 90°, in order of falling intensity:
hkl 1 3 0, 2θ = 25.5°, 3.497 Å, rel. 100.0; hkl 0 0 2, 2θ = 15.0°, 5.898 Å, rel. 44.5; hkl 2 0 -2, 2θ = 23.9°, 3.719 Å, rel. 42.7; hkl 1 1 -3, 2θ = 20.5°, 4.324 Å, rel. 23.3; hkl 1 1 1, 2θ = 20.4°, 4.356 Å, rel. 21.3; hkl 0 2 3, 2θ = 26.7°, 3.337 Å, rel. 21.2; hkl 3 3 -2, 2θ = 43.0°, 2.104 Å, rel. 16.7; hkl 1 1 3, 2θ = 33.4°, 2.686 Å, rel. 13.4


# Ce5C6Br3
Simulated powder diffractogram, CuKα. Input: a structure optimized by DFT (PBE).
Lines closer than 0.1° are merged.

Cell and atoms:
Cell lengths 22.267, 3.781, 16.354 Å; angles 90.00, 123.71, 90.00 degrees
Space group C2/m (No. 12)
Symmetry-distinct sites (fractional):
1 Ce 0.000 0.000 0.105 (multiplicity 4)
2 Ce 0.002 0.000 0.397 (multiplicity 4)
3 Ce 0.161 0.500 0.646 (multiplicity 4)
4 Ce 0.167 0.500 0.101 (multiplicity 4)
5 Ce 0.170 0.500 0.879 (multiplicity 4)
6 C 0.037 0.500 0.024 (multiplicity 4)
7 C 0.037 0.500 0.532 (multiplicity 4)
8 C 0.127 0.000 0.726 (multiplicity 4)
9 C 0.128 0.000 0.967 (multiplicity 4)
10 C 0.199 0.000 0.786 (multiplicity 4)
11 C 0.200 0.000 0.016 (multiplicity 4)
12 Br 0.015 0.500 0.261 (multiplicity 4)
13 Br 0.169 0.000 0.250 (multiplicity 4)
14 Br 0.169 0.000 0.509 (multiplicity 4)

Principal peaks in the range 2θ from 10° to 90°, in order of falling intensity:
hkl 3 1 -4, 2θ = 32.2°, 2.776 Å, rel. 100.0; hkl 6 0 0, 2θ = 28.9°, 3.087 Å, rel. 70.1; hkl 3 1 4, 2θ = 43.9°, 2.061 Å, rel. 37.6; hkl 9 1 -4, 2θ = 43.8°, 2.068 Å, rel. 35.5; hkl 3 1 0, 2θ = 27.7°, 3.225 Å, rel. 27.6; hkl 6 2 0, 2θ = 57.1°, 1.612 Å, rel. 19.9; hkl 2 0 -5, 2θ = 28.6°, 3.117 Å, rel. 19.2; hkl 0 2 0, 2θ = 48.1°, 1.891 Å, rel. 19.0


# Eu2ZnP2
Simulated powder diffractogram, CuKα. Input: a structure optimized by DFT (PBE).
Lines closer than 0.1° are merged.

Cell and atoms:
Cell lengths 4.147, 15.787, 7.245 Å; angles 90.00, 90.00, 90.00 degrees
Space group Cmc2_1 (No. 36)
Symmetry-distinct sites (fractional):
1 Eu 0.000 0.036 0.000 (multiplicity 4)
2 Eu 0.000 0.206 0.668 (multiplicity 4)
3 Zn 0.000 0.406 0.851 (multiplicity 4)
4 P 0.000 0.168 0.273 (multiplicity 4)
5 P 0.000 0.439 0.202 (multiplicity 4)

Principal peaks in the range 2θ from 10° to 90°, in order of falling intensity:
hkl 1 3 1, 2θ = 30.1°, 2.971 Å, rel. 100.0; hkl 0 2 2, 2θ = 27.1°, 3.292 Å, rel. 80.4; hkl 1 3 2, 2θ = 37.1°, 2.422 Å, rel. 78.7; hkl 1 5 0, 2θ = 35.7°, 2.512 Å, rel. 75.0; hkl 0 4 1, 2θ = 25.7°, 3.466 Å, rel. 58.6; hkl 1 1 1, 2θ = 25.4°, 3.509 Å, rel. 54.1; hkl 1 1 2, 2θ = 33.3°, 2.688 Å, rel. 52.9; hkl 0 6 3, 2θ = 51.4°, 1.779 Å, rel. 41.2


# TlCuO3
Simulated powder diffractogram, CuKα. Input: a structure optimized by DFT (PBE).
Lines closer than 0.1° are merged.

Cell and atoms:
Cell lengths 3.843, 3.843, 3.843 Å; angles 90.00, 90.00, 90.00 degrees
Space group Pm-3m (No. 221)
Symmetry-distinct sites (fractional):
1 Tl 0.000 0.000 0.000 (multiplicity 1)
2 Cu 0.500 0.500 0.500 (multiplicity 1)
3 O 0.000 0.500 0.500 (multiplicity 3)

Principal peaks in the range 2θ from 10° to 90°, in order of falling intensity:
hkl 1 1 0, 2θ = 33.0°, 2.717 Å, rel. 100.0; hkl 2 1 1, 2θ = 58.9°, 1.569 Å, rel. 39.0; hkl 2 0 0, 2θ = 47.3°, 1.921 Å, rel. 28.3; hkl 1 0 0, 2θ = 23.1°, 3.843 Å, rel. 23.2; hkl 1 1 1, 2θ = 40.7°, 2.219 Å, rel. 18.9; hkl 2 2 0, 2θ = 69.1°, 1.359 Å, rel. 17.1; hkl 3 1 0, 2θ = 78.7°, 1.215 Å, rel. 16.9; hkl 2 1 0, 2θ = 53.3°, 1.719 Å, rel. 11.7